No. 1
# NaZnHCO4
Simulated XRD peak list, Cu Kα, 1.54184 Å. Input: a structure optimized by DFT (PBE).
Neutral-atom scattering factors, no anomalous dispersion.

The 6 most intense peaks (15 to 90 degrees two-theta), low angle first:
| Position (°2θ) | I (rel.) |
| --- | --- |
| 19.03 | 100.0 |
| 19.42 | 78.7 |
| 26.95 | 86.9 |
| 31.68 | 70.6 |
| 32.07 | 62.9 |
| 33.75 | 94.1 |

Structural model:
```
NaZnHCO4
1.0
3.3391 0.0000 0.0000
0.0000 5.4216 0.0000
-1.2457 0.0000 9.1399
Na Zn H C O
2 2 2 2 8
Direct
0.0000 0.1725 0.0000
0.0000 0.8275 0.5000
0.5674 0.3386 0.6172
0.5674 0.6614 0.1172
0.1763 0.0810 0.7462
0.1763 0.9190 0.2462
0.5316 0.2839 0.3245
0.5316 0.7161 0.8245
0.0806 0.1770 0.6560
0.0806 0.8230 0.1560
0.4551 0.0715 0.3771
0.4551 0.9285 0.8771
0.5447 0.3101 0.1849
0.5447 0.6899 0.6849
0.5949 0.4735 0.4112
0.5949 0.5265 0.9112
```

***

No. 2
# CsZn2Au
Simulated XRD peak list, Cu Kα, 1.54184 Å. Input: a structure optimized by DFT (PBE).
Neutral-atom scattering factors, no anomalous dispersion.

The 6 most intense peaks (15 to 90 degrees two-theta), low angle first:
| Position (°2θ) | I (rel.) |
| --- | --- |
| 22.26 | 19.2 |
| 26.14 | 100.0 |
| 39.73 | 18.2 |
| 41.50 | 53.3 |
| 48.20 | 17.2 |
| 57.05 | 20.7 |

Structural model:
```
CsZn2Au
1.0
4.5374 0.0000 0.0000
0.0000 7.9884 0.0000
0.0000 0.0000 6.8091
Cs Zn Au
2 4 2
Direct
0.2500 0.2500 0.0010
0.7500 0.7500 0.9990
0.2500 0.0812 0.5007
0.2500 0.4188 0.5007
0.7500 0.5812 0.4993
0.7500 0.9188 0.4993
0.2500 0.7500 0.4994
0.7500 0.2500 0.5006
```

***

No. 3
# NdDy2Al3CoCu2
Simulated XRD peak list, Cu Kα, 1.54184 Å. Input: a structure optimized by DFT (PBE).
Neutral-atom scattering factors, no anomalous dispersion.

The 6 most intense peaks (15 to 90 degrees two-theta), low angle first:
| Position (°2θ) | I (rel.) |
| --- | --- |
| 21.74 | 38.2 |
| 25.56 | 37.8 |
| 33.55 | 55.1 |
| 33.80 | 100.0 |
| 36.82 | 89.4 |
| 37.13 | 37.3 |

Structural model:
```
NdDy2Al3CoCu2
1.0
4.0878 0.0000 0.0000
0.0000 6.0118 3.5289
0.0000 -6.0118 3.5289
Nd Dy Al Co Cu
1 2 3 1 2
Direct
0.0000 0.0000 0.0000
0.0000 0.4122 0.8214
0.0000 0.8214 0.4122
0.5000 0.1888 0.4167
0.5000 0.4167 0.1888
0.5000 0.6379 0.6379
0.0000 0.4198 0.4198
0.5000 0.0813 0.7388
0.5000 0.7388 0.0813
```

***

No. 4
# SrZn5
Simulated XRD peak list, Cu Kα, 1.54184 Å. Input: a structure optimized by DFT (PBE).
Neutral-atom scattering factors, no anomalous dispersion.

The 6 most intense peaks (15 to 90 degrees two-theta), low angle first:
| Position (°2θ) | I (rel.) |
| --- | --- |
| 32.18 | 45.8 |
| 32.38 | 100.0 |
| 33.74 | 59.0 |
| 39.14 | 88.4 |
| 42.19 | 48.0 |
| 44.20 | 43.5 |

Structural model:
```
SrZn5
1.0
13.0874 0.0000 0.0000
0.0000 5.2857 0.0000
0.0000 0.0000 6.6974
Sr Zn
4 20
Direct
0.0890 0.2500 0.1447
0.4110 0.7500 0.6447
0.5890 0.2500 0.3553
0.9110 0.7500 0.8553
0.0205 0.7500 0.4025
0.1442 0.0003 0.6504
0.1442 0.4997 0.6504
0.2034 0.7500 0.9553
0.2137 0.7500 0.3380
0.2863 0.2500 0.8380
0.2966 0.2500 0.4553
0.3558 0.9997 0.1504
0.3558 0.5003 0.1504
0.4795 0.2500 0.9025
0.5205 0.7500 0.0975
0.6442 0.0003 0.8496
0.6442 0.4997 0.8496
0.7034 0.7500 0.5447
0.7137 0.7500 0.1620
0.7863 0.2500 0.6620
0.7966 0.2500 0.0447
0.8558 0.9997 0.3496
0.8558 0.5003 0.3496
0.9795 0.2500 0.5975
```